Calculated powder diffractogram
Compound: ErMgPd14
Radiation: copper Kα
Structure: DFT lattice parameters and positions (GGA-PBE)

Peak list (10 most intense, 2θ from 15° to 90°, in order of falling intensity)
Position (°2θ), d/Å, intensity, (hkl)
39.06, 2.306, 100, 2 0 2
45.36, 1.999, 32, 2 2 0
79.53, 1.205, 24, 4 2 2
66.21, 1.411, 20, 2 2 4
45.51, 1.993, 16, 0 0 4
79.75, 1.202, 12, 2 0 6
83.92, 1.153, 11, 4 0 4
66.09, 1.414, 10, 4 0 0
19.24, 4.612, 4, 1 0 1
15.67, 5.655, 3, 1 0 0

Crystal structure
a b c (Å): 5.6547 5.6547 7.9717
angles (deg): 90.00 90.00 90.00
Space group P4/mmm (No. 123)
One atom of each set of equivalent atoms:
Er: 0.0000 0.0000 0.0000 [1 per cell]
Mg: 0.5000 0.5000 0.0000 [1 per cell]
Pd: 0.0000 0.0000 0.5000 [1 per cell]
Pd: 0.0000 0.5000 0.0000 [2 per cell]
Pd: 0.0000 0.5000 0.5000 [2 per cell]
Pd: 0.2521 0.2521 0.2532 [8 per cell]
Pd: 0.5000 0.5000 0.5000 [1 per cell]


Calculated powder diffractogram
Compound: ErMgPd5
Radiation: copper Kα
Structure: DFT lattice parameters and positions (GGA-PBE)

Peak list (10 most intense, 2θ from 15° to 90°, in order of falling intensity)
Position (°2θ), d/Å, intensity, (hkl)
39.44, 2.285, 100, 1 1 2
43.99, 2.059, 39, 2 0 0
33.08, 2.708, 31, 1 1 1
77.80, 1.228, 27, 3 1 2
68.30, 1.373, 16, 2 0 4
63.96, 1.456, 12, 2 2 0
58.48, 1.578, 12, 2 0 3
36.56, 2.458, 12, 0 0 3
49.45, 1.843, 11, 0 0 4
71.75, 1.315, 10, 1 1 5

Crystal structure
a b c (Å): 4.1172 4.1172 7.3731
angles (deg): 90.00 90.00 90.00
Space group P4/mmm (No. 123)
One atom of each set of equivalent atoms:
Er: 0.0000 0.0000 0.0000 [1 per cell]
Mg: 0.5000 0.5000 0.5000 [1 per cell]
Pd: 0.0000 0.5000 0.2740 [4 per cell]
Pd: 0.5000 0.5000 0.0000 [1 per cell]


Calculated powder diffractogram
Compound: PmErMg2Pd4
Radiation: copper Kα
Structure: DFT lattice parameters and positions (GGA-PBE)

Peak list (10 most intense, 2θ from 15° to 90°, in order of falling intensity)
Position (°2θ), d/Å, intensity, (hkl)
37.13, 2.421, 100, 0 1 8
37.70, 2.386, 98, 1 1 0
22.76, 3.906, 42, 0 1 2
53.95, 1.700, 34, 2 0 8
67.68, 1.384, 34, 1 2 8
68.05, 1.378, 17, 3 0 0
66.57, 1.405, 16, 1 0 16
43.75, 2.069, 11, 1 0 10
80.50, 1.193, 11, 2 2 0
79.11, 1.211, 10, 0 2 16

Crystal structure
a b c (Å): 4.7727 4.7727 23.8988
angles (deg): 90.00 90.00 120.00
Space group R-3m (No. 166, hexagonal axes)
One atom of each set of equivalent atoms:
Pm: 0.0000 0.0000 0.0000 [3 per cell]
Er: 0.0000 0.0000 0.5000 [3 per cell]
Mg: 0.0000 0.0000 0.2479 [6 per cell]
Pd: 0.0000 0.0000 0.1261 [6 per cell]
Pd: 0.0000 0.0000 0.3808 [6 per cell]


Calculated powder diffractogram
Compound: Pm8Er3Mg2
Radiation: copper Kα
Structure: DFT lattice parameters and positions (GGA-PBE)

Peak list (10 most intense, 2θ from 15° to 90°, in order of falling intensity)
Position (°2θ), d/Å, intensity, (hkl)
31.42, 2.847, 100, 1 0 -3
31.29, 2.859, 63, 1 -2 2
33.67, 2.662, 54, -2 2 1
29.78, 3.000, 45, 2 0 0
31.99, 2.798, 44, 1 0 3
32.12, 2.786, 36, 0 2 2
27.53, 3.240, 34, 0 2 1
35.01, 2.563, 33, 1 2 -1
48.49, 1.877, 18, 3 -2 2
26.74, 3.334, 16, 1 -2 1

Crystal structure
a b c (Å): 6.3600 7.3384 9.5972
angles (deg): 90.54 90.97 109.33
Space group P-1 (No. 2)
One atom of each set of equivalent atoms:
Pm: 0.0408 0.3758 0.3526 [2 per cell]
Pm: 0.0463 0.8688 0.3221 [2 per cell]
Pm: 0.3992 0.9688 0.8216 [2 per cell]
Pm: 0.4375 0.4727 0.8068 [2 per cell]
Er: 0.0000 0.5000 0.0000 [1 per cell]
Er: 0.4890 0.2424 0.5008 [2 per cell]
Mg: 0.1715 0.1593 0.0611 [2 per cell]


Calculated powder diffractogram
Compound: Pm5Er3Mg
Radiation: copper Kα
Structure: DFT lattice parameters and positions (GGA-PBE)

Peak list (10 most intense, 2θ from 15° to 90°, in order of falling intensity)
Position (°2θ), d/Å, intensity, (hkl)
30.52, 2.929, 100, 0 4 0
38.44, 2.342, 53, 5 3 -2
31.52, 2.838, 53, 5 1 -2
19.56, 4.539, 35, 2 0 -2
15.12, 5.859, 34, 0 2 0
27.45, 3.249, 34, 2 2 1
29.73, 3.005, 25, 2 0 -3
63.53, 1.464, 19, 0 8 0
43.13, 2.097, 18, 2 4 -3
24.82, 3.588, 18, 2 2 -2

Crystal structure
a b c (Å): 14.7439 11.7170 9.1171
angles (deg): 90.00 122.65 90.00
Space group C2/m (No. 12)
One atom of each set of equivalent atoms:
Pm: 0.0000 0.2436 0.0000 [4 per cell]
Pm: 0.0495 0.0000 0.3457 [4 per cell]
Pm: 0.1684 0.2634 0.6963 [8 per cell]
Pm: 0.1874 0.5000 0.4365 [4 per cell]
Er: 0.0000 0.5000 0.0000 [2 per cell]
Er: 0.0000 0.5000 0.5000 [2 per cell]
Er: 0.1423 0.0000 0.0861 [4 per cell]
Er: 0.2022 0.0000 0.7774 [4 per cell]
Mg: 0.1331 0.5000 0.8608 [4 per cell]


Calculated powder diffractogram
Compound: Pm15Er4Mg
Radiation: copper Kα
Structure: DFT lattice parameters and positions (GGA-PBE)

Peak list (10 most intense, 2θ from 15° to 90°, in order of falling intensity)
Position (°2θ), d/Å, intensity, (hkl)
30.40, 2.940, 100, 1 1 5
50.70, 1.800, 36, 2 2 0
35.28, 2.544, 34, 2 0 0
60.32, 1.534, 29, 3 1 5
35.18, 2.551, 17, 0 0 10
60.18, 1.538, 14, 1 1 15
63.26, 1.470, 12, 2 2 10
82.54, 1.169, 12, 3 1 15
82.66, 1.167, 6, 3 3 5
85.32, 1.138, 5, 4 2 0

Crystal structure
a b c (Å): 5.0876 5.0876 25.5125
angles (deg): 90.00 90.00 90.00
Space group P4/mmm (No. 123)
One atom of each set of equivalent atoms:
Pm: 0.0000 0.0000 0.0000 [1 per cell]
Pm: 0.0000 0.0000 0.1974 [2 per cell]
Pm: 0.0000 0.0000 0.3992 [2 per cell]
Pm: 0.0000 0.5000 0.0984 [4 per cell]
Pm: 0.0000 0.5000 0.2989 [4 per cell]
Pm: 0.0000 0.5000 0.5000 [2 per cell]
Er: 0.5000 0.5000 0.1980 [2 per cell]
Er: 0.5000 0.5000 0.3995 [2 per cell]
Mg: 0.5000 0.5000 0.0000 [1 per cell]